Entry 1:
This entry pairs a crystal structure of Ga2Ag8Sn with its calculated powder X-ray diffraction pattern. Radiation: Cu Kα (weighted mean of Kα1 and Kα2). Structure: the PBE geometry in Alexandria.
Peak positions follow from Bragg's law for the DFT cell and can differ from measured ones.

Cell and atoms:
```
data_Ga2Ag8Sn
_chemical_formula_sum 'Ga4 Ag16 Sn2'
_space_group_name_H-M_alt 'C 1 2 1'
_space_group_IT_number 5
_cell_length_a 14.0519
_cell_length_b 6.8321
_cell_length_c 4.4897
_cell_angle_alpha 90.00
_cell_angle_beta 107.72
_cell_angle_gamma 90.00
loop_
_space_group_symop_operation_xyz
'x,y,z'
'-x,y,-z'
'x+1/2,y+1/2,z'
'-x+1/2,y+1/2,-z'
loop_
_atom_site_label
_atom_site_type_symbol
_atom_site_fract_x
_atom_site_fract_y
_atom_site_fract_z
Ga1 Ga 0.1540 0.0000 0.1532
Ag1 Ag 0.0000 0.2504 0.0000
Ag2 Ag 0.0000 0.9781 0.5000
Ag3 Ag 0.1406 0.5627 0.1394
Ag4 Ag 0.1647 0.2621 0.6690
Ag5 Ag 0.1943 0.7936 0.6917
Sn1 Sn 0.0000 0.5557 0.5000
```

Most intense lines, 5° ≤ 2θ ≤ 70°, low angle first:
(hkl)	2theta	I_rel
2 2 0	29.35	14.7
3 1 1	35.72	17.5
5 1 -1	36.21	18.2
2 2 1	38.62	92.3
4 2 -1	38.96	100.0
2 0 -2	40.17	68.1
6 0 0	40.43	33.1
0 4 0	53.66	12.5
4 0 2	57.80	11.2
2 4 -2	69.11	12.7

***

Entry 2:
This entry pairs a crystal structure of NaNiBi3 with its calculated powder X-ray diffraction pattern. Radiation: Cu Kα (weighted mean of Kα1 and Kα2). Structure: the PBE geometry in Alexandria.
Peak positions follow from Bragg's law for the DFT cell and can differ from measured ones.

Cell and atoms:
```
data_NaNiBi3
_chemical_formula_sum 'Na4 Ni4 Bi12'
_space_group_name_H-M_alt 'I m m a'
_space_group_IT_number 74
_space_group_name_Hall '-I 2b 2'
_cell_length_a 5.2266
_cell_length_b 5.4206
_cell_length_c 20.0194
_cell_angle_alpha 90.00
_cell_angle_beta 90.00
_cell_angle_gamma 90.00
loop_
_atom_site_label
_atom_site_type_symbol
_atom_site_fract_x
_atom_site_fract_y
_atom_site_fract_z
Na1 Na 0.0000 0.2500 0.0732
Ni1 Ni 0.0000 0.2500 0.6698
Bi1 Bi 0.0000 0.2500 0.2996
Bi2 Bi 0.0000 0.2500 0.5396
Bi3 Bi 0.0000 0.2500 0.8078
```

Most intense lines, 5° ≤ 2θ ≤ 70°, low angle first:
(hkl)	2theta	I_rel
0 0 2	8.83	34.0
1 0 1	17.54	24.0
1 1 4	29.71	100.0
0 2 0	33.05	33.1
2 0 0	34.31	33.1
0 0 8	35.88	14.0
1 1 8	43.43	20.1
2 2 0	48.38	23.2
1 3 4	56.98	18.4
3 1 4	58.63	15.5

***

Entry 3:
This entry pairs a crystal structure of K2ErF4 with its calculated powder X-ray diffraction pattern. Radiation: Cu Kα (weighted mean of Kα1 and Kα2). Structure: the PBE geometry in Alexandria.
Peak positions follow from Bragg's law for the DFT cell and can differ from measured ones.

Cell and atoms:
```
data_K2ErF4
_chemical_formula_sum 'K4 Er2 F8'
_space_group_name_H-M_alt 'I 4/m m m'
_space_group_IT_number 139
_space_group_name_Hall '-I 4 2'
_cell_length_a 4.3246
_cell_length_b 4.3246
_cell_length_c 19.2414
_cell_angle_alpha 90.00
_cell_angle_beta 90.00
_cell_angle_gamma 90.00
loop_
_atom_site_label
_atom_site_type_symbol
_atom_site_fract_x
_atom_site_fract_y
_atom_site_fract_z
K1 K 0.0000 0.0000 0.1573
Er1 Er 0.0000 0.0000 0.5000
F1 F 0.0000 0.0000 0.3894
F2 F 0.0000 0.5000 0.0000
```

Most intense lines, 5° ≤ 2θ ≤ 70°, low angle first:
(hkl)	2theta	I_rel
0 0 2	9.19	100.0
1 0 1	21.06	44.7
1 0 3	24.83	68.7
0 0 6	27.82	17.3
1 1 0	29.20	27.2
2 0 0	41.77	17.1
0 0 10	47.23	12.3
1 0 9	47.44	16.7
2 1 3	49.21	20.8
2 1 9	65.03	12.2

***

Entry 4:
This entry pairs a crystal structure of ZnNi3H6 with its calculated powder X-ray diffraction pattern. Radiation: Cu Kα (weighted mean of Kα1 and Kα2). Structure: the PBE geometry in Alexandria.
Peak positions follow from Bragg's law for the DFT cell and can differ from measured ones.

Cell and atoms:
```
data_ZnNi3H6
_chemical_formula_sum 'Zn3 Ni9 H18'
_space_group_name_H-M_alt 'R 3'
_space_group_IT_number 146
_space_group_name_Hall 'R 3'
_cell_length_a 4.3912
_cell_length_b 4.3912
_cell_length_c 12.0210
_cell_angle_alpha 90.00
_cell_angle_beta 90.00
_cell_angle_gamma 120.00
loop_
_atom_site_label
_atom_site_type_symbol
_atom_site_fract_x
_atom_site_fract_y
_atom_site_fract_z
Zn1 Zn 0.0000 0.0000 0.0000
Ni1 Ni 0.0000 0.0000 0.2114
Ni2 Ni 0.0000 0.0000 0.4265
Ni3 Ni 0.0000 0.0000 0.7827
H1 H 0.0202 0.3840 0.1858
H2 H 0.1280 0.7830 0.3484
```

Most intense lines, 5° ≤ 2θ ≤ 70°, low angle first:
(hkl)	2theta	I_rel
0 0 3	22.18	12.8
1 0 1	24.55	13.3
0 1 2	27.76	10.0
1 0 4	38.17	40.5
1 1 0	41.11	100.0
0 1 5	44.59	61.4
2 -1 3	47.20	9.7
0 2 1	48.47	2.6
0 2 4	57.34	11.9
2 0 5	62.25	21.9

***

Repeat the first record exactly.
This entry pairs a crystal structure of Ga2Ag8Sn with its calculated powder X-ray diffraction pattern. Radiation: Cu Kα (weighted mean of Kα1 and Kα2). Structure: the PBE geometry in Alexandria.
Peak positions follow from Bragg's law for the DFT cell and can differ from measured ones.

Cell and atoms:
```
data_Ga2Ag8Sn
_chemical_formula_sum 'Ga4 Ag16 Sn2'
_space_group_name_H-M_alt 'C 1 2 1'
_space_group_IT_number 5
_cell_length_a 14.0519
_cell_length_b 6.8321
_cell_length_c 4.4897
_cell_angle_alpha 90.00
_cell_angle_beta 107.72
_cell_angle_gamma 90.00
loop_
_space_group_symop_operation_xyz
'x,y,z'
'-x,y,-z'
'x+1/2,y+1/2,z'
'-x+1/2,y+1/2,-z'
loop_
_atom_site_label
_atom_site_type_symbol
_atom_site_fract_x
_atom_site_fract_y
_atom_site_fract_z
Ga1 Ga 0.1540 0.0000 0.1532
Ag1 Ag 0.0000 0.2504 0.0000
Ag2 Ag 0.0000 0.9781 0.5000
Ag3 Ag 0.1406 0.5627 0.1394
Ag4 Ag 0.1647 0.2621 0.6690
Ag5 Ag 0.1943 0.7936 0.6917
Sn1 Sn 0.0000 0.5557 0.5000
```

Most intense lines, 5° ≤ 2θ ≤ 70°, low angle first:
(hkl)	2theta	I_rel
2 2 0	29.35	14.7
3 1 1	35.72	17.5
5 1 -1	36.21	18.2
2 2 1	38.62	92.3
4 2 -1	38.96	100.0
2 0 -2	40.17	68.1
6 0 0	40.43	33.1
0 4 0	53.66	12.5
4 0 2	57.80	11.2
2 4 -2	69.11	12.7

***

Question: Which formula does entry 3 have?
Answer: K2ErF4